1.
This entry pairs a crystal structure of MgZn2Au7 with its theoretical powder diffractogram. Radiation: Cu Kα X-rays. Structure: a crystal structure in Alexandria, relaxed with GGA-PBE.

Largest 8 diffraction maxima, in order of rising 2θ, 2θ = 5–70°:
2θ 22.92, d 3.880, I 9; 2θ 28.31, d 3.153, I 73; 2θ 33.94, d 2.641, I 24; 2θ 40.26, d 2.240, I 100; 2θ 40.67, d 2.218, I 86; 2θ 49.94, d 1.826, I 16; 2θ 58.56, d 1.576, I 30; 2θ 66.00, d 1.415, I 14

Cell and atoms:
Cell: 4.4805 4.4805 10.8155 Å, 90.00 90.00 120.00°
Element x y z (fractional)
Mg  0.0000  0.0000  0.0000
Zn  0.3333  0.6667  0.6617
Zn  0.6667  0.3333  0.3338
Au  0.0000  0.0000  0.2593
Au  0.0000  0.0000  0.7100
Au  0.3333  0.6667  0.4120
Au  0.3333  0.6667  0.9418
Au  0.6667  0.3333  0.0984
Au  0.6667  0.3333  0.5696
Au  0.6667  0.3333  0.8329


2.
This entry pairs a crystal structure of MgZn2Au3 with its theoretical powder diffractogram. Radiation: Cu Kα X-rays. Structure: a crystal structure in Alexandria, relaxed with GGA-PBE.

Largest 8 diffraction maxima, in order of rising 2θ, 2θ = 5–70°:
2θ 27.49, d 3.245, I 20; 2θ 27.76, d 3.213, I 39; 2θ 39.47, d 2.283, I 100; 2θ 39.60, d 2.276, I 25; 2θ 39.74, d 2.268, I 24; 2θ 48.88, d 1.863, I 9; 2θ 49.00, d 1.859, I 8; 2θ 56.74, d 1.622, I 9

Cell and atoms:
Cell: 4.5522 6.4897 7.1695 Å, 90.00 108.35 90.00°
Element x y z (fractional)
Mg  0.1660  0.0000  0.3318
Mg  0.8340  0.0000  0.6682
Zn  0.1716  0.5000  0.3429
Zn  0.5000  0.0000  0.0000
Zn  0.5000  0.5000  0.0000
Zn  0.8284  0.5000  0.6571
Au  0.0000  0.2590  0.0000
Au  0.0000  0.7410  0.0000
Au  0.3370  0.2542  0.6740
Au  0.3370  0.7458  0.6740
Au  0.6630  0.2542  0.3260
Au  0.6630  0.7458  0.3260


3.
This entry pairs a crystal structure of MgZn6Au5 with its theoretical powder diffractogram. Radiation: Cu Kα X-rays. Structure: a crystal structure in Alexandria, relaxed with GGA-PBE.

Largest 8 diffraction maxima, in order of rising 2θ, 2θ = 5–70°:
2θ 24.63, d 3.615, I 14; 2θ 29.64, d 3.014, I 16; 2θ 38.91, d 2.315, I 100; 2θ 42.32, d 2.136, I 21; 2θ 42.51, d 2.127, I 17; 2θ 50.49, d 1.807, I 12; 2θ 61.54, d 1.507, I 11; 2θ 67.94, d 1.380, I 10

Cell and atoms:
Cell: 7.6373 7.6373 7.6373 Å, 147.53 123.50 66.70°
Element x y z (fractional)
Mg  0.0000  0.0000  0.0000
Zn  0.0924  0.8295  0.2629
Zn  0.2710  0.5000  0.7710
Zn  0.4335  0.1705  0.2629
Zn  0.5665  0.8295  0.7371
Zn  0.7290  0.5000  0.2290
Zn  0.9076  0.1705  0.7371
Au  0.1491  0.6491  0.5000
Au  0.3221  0.3221  0.0000
Au  0.5000  0.0000  0.5000
Au  0.6779  0.6779  0.0000
Au  0.8509  0.3509  0.5000